# Be2GeRh2
Computed X-ray diffraction stick pattern, Cu Kα. Input: DFT lattice parameters and positions (PBE).
Kinematic intensities with the Lorentz-polarization factor, no thermal factor.

Largest 10 diffraction maxima, in order of falling intensity, 2θ from 10° to 80°:
| Position (°2θ) | d/Å | I/Imax |
| --- | --- | --- |
| 30.64 | 2.918 | 100 |
| 43.89 | 2.063 | 83 |
| 54.48 | 1.684 | 30 |
| 72.41 | 1.305 | 16 |
| 67.34 | 1.391 | 10 |
| 39.08 | 2.305 | 9 |
| 50.43 | 1.809 | 8 |
| 58.36 | 1.581 | 8 |
| 63.73 | 1.460 | 6 |
| 63.85 | 1.458 | 5 |

Atomic structure:
a = 6.5199 Å, b = 6.5199 Å, c = 2.9207 Å
α = 90.00°, β = 90.00°, γ = 90.00°
Space group P4/mbm (No. 127)
Unique sites:
Be 0.1290 0.3710 0.0000 (multiplicity 4)
Ge 0.0000 0.0000 0.5000 (multiplicity 2)
Rh 0.1619 0.6619 0.5000 (multiplicity 4)